Diffraction record for Sn3Pt. The powder XRD pattern is simulated, not measured: it uses a structure optimized by DFT (PBE) and copper Kα.
No peak broadening, texture or thermal motion is included.

Largest 10 diffraction maxima, in order of rising 2θ, 2θ from 10° to 80°:
2θ/deg  I (rel.)
14.6  40
32.8  87
34.4  100
34.8  45
36.4  43
40.6  53
46.0  25
49.0  25
50.0  21
64.3  25

```
Sn3Pt
1.0
1.8604 -6.0482 0.0000
1.8604 6.0482 0.0000
0.0000 0.0000 8.5489
Sn Pt
6 2
Direct
0.0653 0.9347 0.7500
0.3591 0.6409 0.5588
0.3591 0.6409 0.9412
0.6409 0.3591 0.0588
0.6409 0.3591 0.4412
0.9347 0.0653 0.2500
0.2618 0.7382 0.2500
0.7382 0.2618 0.7500
```

***

Diffraction record for SnPt7. The powder XRD pattern is simulated, not measured: it uses a structure optimized by DFT (PBE) and copper Kα.
No peak broadening, texture or thermal motion is included.

Largest 10 diffraction maxima, in order of rising 2θ, 2θ from 10° to 80°:
2θ/deg  I (rel.)
38.7  100
40.0  52
44.6  53
45.8  9
48.0  13
64.9  18
65.8  13
67.6  19
78.2  27
79.1  15

```
SnPt7
1.0
2.8727 0.0000 0.0000
0.0000 2.8727 0.0000
0.0000 0.0000 43.6053
Sn Pt
2 14
Direct
0.2500 0.2500 0.1655
0.7500 0.7500 0.8345
0.2500 0.2500 0.2584
0.2500 0.2500 0.3463
0.2500 0.2500 0.4338
0.2500 0.2500 0.5221
0.2500 0.2500 0.6100
0.2500 0.2500 0.6974
0.2500 0.2500 0.7872
0.7500 0.7500 0.2128
0.7500 0.7500 0.3026
0.7500 0.7500 0.3900
0.7500 0.7500 0.4779
0.7500 0.7500 0.5662
0.7500 0.7500 0.6537
0.7500 0.7500 0.7416
```

***

Diffraction record for Sn2Pt7. The powder XRD pattern is simulated, not measured: it uses a structure optimized by DFT (PBE) and copper Kα.
No peak broadening, texture or thermal motion is included.

Largest 10 diffraction maxima, in order of rising 2θ, 2θ from 10° to 80°:
2θ/deg  I (rel.)
37.0  43
38.0  100
38.9  19
39.1  20
41.9  22
43.6  36
45.3  58
63.3  37
76.9  17
78.8  22

```
Sn2Pt7
1.0
2.9388 0.0000 0.0000
-1.4694 2.5451 0.0000
0.0000 0.0000 32.3763
Sn Pt
2 7
Direct
0.3333 0.6667 0.2243
0.6667 0.3333 0.7757
0.0000 0.0000 0.2954
0.0000 0.0000 0.5000
0.0000 0.0000 0.7046
0.3333 0.6667 0.4329
0.3333 0.6667 0.6348
0.6667 0.3333 0.3652
0.6667 0.3333 0.5671
```

***

Diffraction record for SnPt7. The powder XRD pattern is simulated, not measured: it uses a structure optimized by DFT (PBE) and copper Kα.
No peak broadening, texture or thermal motion is included.

Largest 10 diffraction maxima, in order of rising 2θ, 2θ from 10° to 80°:
2θ/deg  I (rel.)
37.6  27
39.0  100
39.7  62
43.7  18
45.5  41
46.2  31
65.4  22
66.8  27
77.9  16
79.3  17

```
SnPt7
1.0
2.8548 0.0000 0.0000
0.0000 3.9350 0.0000
0.0000 0.0000 36.1797
Sn Pt
2 14
Direct
0.2500 0.2500 0.2059
0.7500 0.7500 0.7941
0.2500 0.2500 0.2872
0.2500 0.2500 0.3650
0.2500 0.2500 0.4424
0.2500 0.2500 0.5193
0.2500 0.2500 0.5962
0.2500 0.2500 0.6739
0.2500 0.2500 0.7538
0.7500 0.7500 0.2462
0.7500 0.7500 0.3261
0.7500 0.7500 0.4038
0.7500 0.7500 0.4807
0.7500 0.7500 0.5576
0.7500 0.7500 0.6350
0.7500 0.7500 0.7128
```

***

Diffraction record for SnPt15. The powder XRD pattern is simulated, not measured: it uses a structure optimized by DFT (PBE) and copper Kα.
No peak broadening, texture or thermal motion is included.

Largest 10 diffraction maxima, in order of rising 2θ, 2θ from 10° to 80°:
2θ/deg  I (rel.)
37.4  28
39.4  100
39.5  62
41.6  9
44.0  18
45.9  73
65.4  11
66.7  11
66.8  27
79.0  7

```
SnPt15
1.0
7.9160 0.0000 0.0000
0.0000 2.8069 0.0000
-0.0461 0.0000 36.3094
Sn Pt
2 30
Direct
0.1251 0.2500 0.2983
0.8749 0.7500 0.7017
0.1136 0.2500 0.7443
0.1183 0.2500 0.8257
0.1236 0.2500 0.9035
0.1255 0.2500 0.1349
0.1246 0.2500 0.2149
0.1263 0.2500 0.0569
0.1264 0.2500 0.9802
0.3632 0.7500 0.2559
0.3682 0.7500 0.1748
0.3735 0.7500 0.0968
0.3750 0.7500 0.7158
0.3745 0.7500 0.7897
0.3754 0.7500 0.8640
0.3761 0.7500 0.0190
0.3765 0.7500 0.9410
0.6235 0.2500 0.0590
0.6239 0.2500 0.9810
0.6246 0.2500 0.1360
0.6255 0.2500 0.2103
0.6250 0.2500 0.2842
0.6265 0.2500 0.9032
0.6318 0.2500 0.8252
0.6368 0.2500 0.7441
0.8736 0.7500 0.0198
0.8737 0.7500 0.9431
0.8754 0.7500 0.7851
0.8745 0.7500 0.8651
0.8764 0.7500 0.0965
0.8817 0.7500 0.1743
0.8864 0.7500 0.2557
```

***

Diffraction record for SnPt15. The powder XRD pattern is simulated, not measured: it uses a structure optimized by DFT (PBE) and copper Kα.
No peak broadening, texture or thermal motion is included.

Largest 10 diffraction maxima, in order of rising 2θ, 2θ from 10° to 80°:
2θ/deg  I (rel.)
36.8  6
39.0  100
40.2  49
44.2  11
45.9  48
46.1  3
46.3  15
65.6  13
66.9  16
67.2  19

```
SnPt15
1.0
3.9549 0.0000 0.0000
0.0000 3.9548 0.0000
0.0000 0.0000 45.0950
Sn Pt
2 30
Direct
0.2500 0.0000 0.1638
0.7500 0.0000 0.8362
0.2500 0.0000 0.2581
0.2500 0.0000 0.3459
0.2500 0.0000 0.4337
0.2500 0.0000 0.5221
0.2500 0.0000 0.6103
0.2500 0.0000 0.6980
0.2500 0.0000 0.7872
0.2500 0.5000 0.2128
0.2500 0.5000 0.3020
0.2500 0.5000 0.3897
0.2500 0.5000 0.4779
0.2500 0.5000 0.5663
0.2500 0.5000 0.6540
0.2500 0.5000 0.7427
0.2500 0.5000 0.8309
0.7500 0.0000 0.2128
0.7500 0.0000 0.3020
0.7500 0.0000 0.3897
0.7500 0.0000 0.4779
0.7500 0.0000 0.5663
0.7500 0.0000 0.6541
0.7500 0.0000 0.7419
0.7500 0.5000 0.1691
0.7500 0.5000 0.2573
0.7500 0.5000 0.3460
0.7500 0.5000 0.4337
0.7500 0.5000 0.5221
0.7500 0.5000 0.6103
0.7500 0.5000 0.6980
0.7500 0.5000 0.7872
```

***

Diffraction record for Sn5Pt4. The powder XRD pattern is simulated, not measured: it uses a structure optimized by DFT (PBE) and copper Kα.
No peak broadening, texture or thermal motion is included.

Largest 10 diffraction maxima, in order of rising 2θ, 2θ from 10° to 80°:
2θ/deg  I (rel.)
23.9  24
24.2  44
28.1  28
32.7  16
38.3  29
41.3  98
42.1  100
60.5  32
76.4  33
77.0  18

```
Sn5Pt4
1.0
4.2916 0.0000 0.0000
-2.1458 3.7167 0.0000
0.0000 0.0000 24.3150
Sn Pt
10 8
Direct
0.0000 0.0000 0.1407
0.0000 0.0000 0.3593
0.0000 0.0000 0.6407
0.0000 0.0000 0.8593
0.3333 0.6667 0.0386
0.3333 0.6667 0.2500
0.3333 0.6667 0.4614
0.6667 0.3333 0.5386
0.6667 0.3333 0.7500
0.6667 0.3333 0.9614
0.3333 0.6667 0.5802
0.3333 0.6667 0.6940
0.3333 0.6667 0.8060
0.3333 0.6667 0.9198
0.6667 0.3333 0.0802
0.6667 0.3333 0.1940
0.6667 0.3333 0.3060
0.6667 0.3333 0.4198
```

***

Diffraction record for YTaSn2Pt2. The powder XRD pattern is simulated, not measured: it uses a structure optimized by DFT (PBE) and copper Kα.
No peak broadening, texture or thermal motion is included.

Largest 10 diffraction maxima, in order of rising 2θ, 2θ from 10° to 80°:
2θ/deg  I (rel.)
24.0  55
39.7  100
39.8  21
46.9  16
47.0  9
57.2  7
57.4  13
63.1  8
72.0  25
72.2  14

```
YTaSn2Pt2
1.0
4.5295 0.0000 0.0000
0.0000 9.0910 0.0000
0.0000 0.0000 6.4370
Y Ta Sn Pt
2 2 4 4
Direct
0.0000 0.1237 0.0000
0.5000 0.8763 0.5000
0.0000 0.6222 0.0069
0.5000 0.3778 0.5069
0.0000 0.1276 0.4925
0.0000 0.6255 0.5198
0.5000 0.3745 0.0198
0.5000 0.8724 0.9925
0.0000 0.3904 0.2698
0.0000 0.8544 0.2351
0.5000 0.1456 0.7351
0.5000 0.6096 0.7698
```